This entry pairs a crystal structure of AsS3N2F6 with its calculated powder diffraction line list. Radiation: Cu Kα (weighted mean of Kα1 and Kα2). Structure: a crystal structure in the Materials Project, relaxed with PBE.
Neutral-atom scattering factors, no anomalous dispersion.

Crystal structure
```
AsS3N2F6
1.0
5.797 0.000 0.000
2.127 7.756 0.000
1.505 -0.218 9.511
As S N F
2 6 4 12
direct
0.073 0.270 0.226
0.927 0.730 0.774
0.268 0.154 0.804
0.450 0.759 0.431
0.475 0.703 0.146
0.525 0.297 0.854
0.550 0.241 0.569
0.732 0.846 0.196
0.344 0.156 0.637
0.359 0.685 0.306
0.641 0.315 0.694
0.656 0.844 0.363
0.027 0.084 0.319
0.126 0.451 0.132
0.130 0.593 0.640
0.168 0.730 0.866
0.278 0.131 0.091
0.320 0.264 0.316
0.680 0.736 0.684
0.722 0.869 0.909
0.832 0.270 0.134
0.870 0.407 0.360
0.874 0.549 0.868
0.973 0.916 0.681
```

Largest 10 diffraction maxima, sorted by position, 5 to 70 degrees two-theta:
index  Position (°2θ)  I (rel.)
0 1 1  14.91  12
1 1 0  17.07  18
1 1 1  18.35  55
0 0 2  18.66  44
1 1 -1  20.54  19
1 0 2  22.68  12
1 -1 1  22.91  100
-1 1 1  25.10  29
1 2 -1  26.80  12
2 1 3  39.12  16